# Cs8Ag6F
Theoretical XRD peak list, Cu Kα. Input: a cell relaxed with PBE.
Lines closer than 0.1° are merged.

Peak list (10 most intense, 2θ from 10° to 90°, by intensity)
- d 3.670, 24.25°, I = 100
- d 3.500, 25.45°, I = 60
- d 2.999, 29.80°, I = 60
- d 2.738, 32.71°, I = 49
- d 2.893, 30.91°, I = 33
- d 3.357, 26.56°, I = 25
- d 6.713, 13.19°, I = 25
- d 1.829, 49.86°, I = 24
- d 4.486, 19.79°, I = 23
- d 2.155, 41.92°, I = 19

Cell and atoms:
```
15
Lattice="5.702 3.292 6.713 -5.702 3.292 6.713 0.000 -6.584 6.713" Properties=species:S:1:pos:R:3 pbc="T T T"
Cs 0.000 0.000 2.694
Cs -1.234 -2.295 8.279
Cs -2.604 -0.079 11.860
Cs -1.371 2.216 8.279
Cs 1.371 -2.216 11.860
Cs 2.604 0.079 8.279
Cs 1.234 2.295 11.860
Cs 0.000 0.000 17.445
Ag -4.805 -0.229 8.902
Ag -2.204 -4.276 11.237
Ag 2.601 -4.047 8.902
Ag -2.601 4.047 11.237
Ag 2.204 4.276 8.902
Ag 4.805 0.229 11.237
F 0.000 0.000 10.070
```

---

# CsAgF
Theoretical XRD peak list, Cu Kα. Input: a cell relaxed with PBE.
Lines closer than 0.1° are merged.

Peak list (10 most intense, 2θ from 10° to 90°, by intensity)
- d 2.859, 31.28°, I = 100
- d 2.157, 41.88°, I = 71
- d 3.286, 27.14°, I = 59
- d 3.150, 28.33°, I = 42
- d 3.103, 28.77°, I = 40
- d 1.708, 53.67°, I = 31
- d 2.048, 44.23°, I = 19
- d 1.767, 51.72°, I = 18
- d 1.738, 52.67°, I = 18
- d 1.997, 45.42°, I = 17

Cell and atoms:
```
6
Lattice="3.994 0.000 0.000 0.000 4.096 0.000 0.000 0.000 9.858" Properties=species:S:1:pos:R:3 pbc="T T T"
Cs 0.998 1.024 1.578
Cs 2.995 3.072 8.280
Ag 0.998 1.024 5.280
Ag 2.995 3.072 4.577
F 0.998 1.024 8.168
F 2.995 3.072 1.690
```

---

# CsAgF4
Theoretical XRD peak list, Cu Kα. Input: a cell relaxed with PBE.
Lines closer than 0.1° are merged.

Peak list (10 most intense, 2θ from 10° to 90°, by intensity)
- d 3.846, 23.13°, I = 100
- d 3.340, 26.69°, I = 97
- d 2.109, 42.88°, I = 36
- d 3.144, 28.39°, I = 30
- d 2.165, 41.72°, I = 27
- d 1.783, 51.24°, I = 25
- d 2.008, 45.15°, I = 19
- d 2.842, 31.48°, I = 18
- d 2.611, 34.35°, I = 18
- d 1.670, 54.98°, I = 15

Cell and atoms:
```
12
Lattice="6.579 -2.842 0.000 6.579 2.842 0.000 -2.024 0.000 6.565" Properties=species:S:1:pos:R:3 pbc="T T T"
Cs 5.061 1.660 4.924
Cs 6.073 -1.660 1.641
Ag 3.290 1.421 0.000
Ag 2.278 -1.421 3.283
F 1.509 0.124 4.243
F 5.107 1.013 0.624
F 2.521 -0.124 0.960
F 7.039 1.013 2.659
F 4.096 -1.013 3.906
F 8.614 0.124 5.605
F 6.027 -1.013 5.941
F 9.625 -0.124 2.322
```

---

# CsAg3F9
Theoretical XRD peak list, Cu Kα. Input: a cell relaxed with PBE.
Lines closer than 0.1° are merged.

Peak list (10 most intense, 2θ from 10° to 90°, by intensity)
- d 3.492, 25.51°, I = 100
- d 3.599, 24.74°, I = 51
- d 2.909, 30.74°, I = 33
- d 2.016, 44.96°, I = 31
- d 1.800, 50.73°, I = 29
- d 1.454, 64.03°, I = 20
- d 4.200, 21.16°, I = 17
- d 1.746, 52.41°, I = 16
- d 1.759, 51.99°, I = 15
- d 2.036, 44.50°, I = 14

Cell and atoms:
```
13
Lattice="8.064 0.000 0.000 -4.032 6.984 0.000 0.000 0.000 4.200" Properties=species:S:1:pos:R:3 pbc="T T T"
Cs 0.000 0.000 0.000
Ag -2.016 3.492 2.100
Ag 4.032 0.000 2.100
Ag 2.016 3.492 2.100
F -2.016 3.492 0.000
F 0.000 2.831 2.100
F -1.580 5.568 2.100
F 2.452 1.416 2.100
F 4.032 0.000 0.000
F 2.016 3.492 0.000
F 1.580 5.568 2.100
F 5.612 1.416 2.100
F 4.032 4.152 2.100
```

---

# Cs2Ag3F8
Theoretical XRD peak list, Cu Kα. Input: a cell relaxed with PBE.
Lines closer than 0.1° are merged.

Peak list (10 most intense, 2θ from 10° to 90°, by intensity)
- d 3.030, 29.48°, I = 100
- d 3.083, 28.96°, I = 65
- d 3.589, 24.81°, I = 59
- d 2.180, 41.42°, I = 52
- d 1.769, 51.66°, I = 41
- d 1.955, 46.45°, I = 29
- d 1.651, 55.67°, I = 28
- d 2.528, 35.51°, I = 28
- d 1.863, 48.89°, I = 19
- d 1.228, 77.80°, I = 18

Cell and atoms:
```
13
Lattice="4.360 0.000 0.000 0.000 4.360 0.000 0.000 0.000 12.641" Properties=species:S:1:pos:R:3 pbc="T T T"
Cs 0.000 0.000 2.431
Cs 0.000 0.000 10.211
Ag 2.180 2.180 0.000
Ag 2.180 2.180 4.740
Ag 2.180 2.180 7.902
F 0.000 2.180 0.000
F 0.000 2.180 4.638
F 0.000 2.180 8.004
F 2.180 0.000 0.000
F 2.180 0.000 4.638
F 2.180 0.000 8.004
F 2.180 2.180 2.132
F 2.180 2.180 10.509
```

---

# Cs4Ag3F12
Theoretical XRD peak list, Cu Kα. Input: a cell relaxed with PBE.
Lines closer than 0.1° are merged.

Peak list (10 most intense, 2θ from 10° to 90°, by intensity)
- d 3.594, 24.77°, I = 100
- d 2.075, 43.62°, I = 49
- d 1.358, 69.15°, I = 21
- d 1.607, 57.32°, I = 21
- d 2.542, 35.32°, I = 18
- d 7.188, 12.31°, I = 16
- d 1.797, 50.81°, I = 12
- d 1.198, 80.10°, I = 12
- d 4.150, 21.41°, I = 9
- d 1.467, 63.39°, I = 7

Cell and atoms:
```
19
Lattice="-5.083 5.083 5.083 5.083 -5.083 5.083 5.083 5.083 -5.083" Properties=species:S:1:pos:R:3 pbc="T T T"
Cs 2.542 2.542 -2.542
Cs 2.542 -2.542 2.542
Cs -2.542 2.542 2.542
Cs 2.542 2.542 2.542
Ag 5.083 0.000 0.000
Ag 0.000 5.083 0.000
Ag 0.000 0.000 5.083
F 3.670 1.418 0.000
F 6.496 1.418 0.000
F 5.083 -1.413 3.665
F 3.665 5.083 -1.413
F 1.418 0.000 3.670
F 0.000 3.670 1.418
F 5.083 1.413 3.665
F 3.665 5.083 1.413
F 1.418 0.000 6.496
F 0.000 6.496 1.418
F -1.413 3.665 5.083
F 1.413 3.665 5.083
```